# 1
Structure and computed powder diffraction line list of B5W2 (the PBE geometry in Alexandria; λ = 1.5418 Å (Cu Kα)).

Most intense lines, 10 to 90 degrees two-theta, most intense first:
- (1 0 1), 33.74 deg, I 100
- (0 0 6), 24.74 deg, I 71
- (1 0 7), 44.83 deg, I 65
- (0 1 5), 39.61 deg, I 48
- (0 1 2), 34.52 deg, I 37
- (0 1 8), 47.86 deg, I 34
- (1 1 0), 59.84 deg, I 31
- (1 1 6), 65.76 deg, I 31
- (0 1 14), 70.48 deg, I 25
- (1 1 12), 82.23 deg, I 18
- (1 0 13), 66.23 deg, I 17
- (0 0 9), 37.50 deg, I 17

```
data_B5W2
_chemical_formula_sum 'B15 W6'
_symmetry_space_group_name_H-M 'R -3 m'
_symmetry_Int_Tables_number 166
_symmetry_space_group_name_Hall '-R 3 2"'
_cell_length_a 3.0911
_cell_length_b 3.0911
_cell_length_c 21.5880
_cell_angle_alpha 90.00
_cell_angle_beta 90.00
_cell_angle_gamma 120.00
loop_
_atom_site_label
_atom_site_fract_x
_atom_site_fract_y
_atom_site_fract_z
_atom_site_occupancy
B1 0.0000 0.0000 0.0000 1
B2 0.0000 0.0000 0.1690 1
B3 0.0000 0.0000 0.3146 1
W1 0.0000 0.0000 0.4237 1
```

# 2
Structure and computed powder diffraction line list of Ba2Li2Ag3 (the PBE geometry in Alexandria; λ = 1.5418 Å (Cu Kα)).

Most intense lines, 10 to 90 degrees two-theta, most intense first:
- (1 5 1), 30.51 deg, I 100
- (1 1 2), 29.28 deg, I 77
- (0 6 3), 41.95 deg, I 33
- (2 0 0), 38.33 deg, I 28
- (1 3 0), 22.77 deg, I 25
- (0 4 3), 37.16 deg, I 24
- (1 9 2), 48.82 deg, I 21
- (0 8 0), 34.00 deg, I 18
- (0 0 2), 21.76 deg, I 17
- (1 5 5), 64.28 deg, I 16
- (2 4 3), 54.45 deg, I 15
- (2 6 3), 58.13 deg, I 15

```
data_Ba2Li2Ag3
_chemical_formula_sum 'Ba8 Li8 Ag12'
_symmetry_space_group_name_H-M 'C m c m'
_symmetry_Int_Tables_number 63
_symmetry_space_group_name_Hall '-C 2c 2'
_cell_length_a 4.6971
_cell_length_b 21.0941
_cell_length_c 8.1688
_cell_angle_alpha 90.00
_cell_angle_beta 90.00
_cell_angle_gamma 90.00
loop_
_atom_site_label
_atom_site_fract_x
_atom_site_fract_y
_atom_site_fract_z
_atom_site_occupancy
Ba1 0.0000 0.0549 0.2500 1
Ba2 0.0000 0.1571 0.7500 1
Li1 0.0000 0.3081 0.5632 1
Ag1 0.0000 0.2206 0.2500 1
Ag2 0.0000 0.4387 0.0717 1
```

# 3
Structure and computed powder diffraction line list of NaPd6Se2 (the PBE geometry in Alexandria; λ = 1.5418 Å (Cu Kα)).

Most intense lines, 10 to 90 degrees two-theta, most intense first:
- (1 1 3), 41.63 deg, I 100
- (1 1 2), 35.98 deg, I 78
- (2 0 0), 44.18 deg, I 57
- (3 1 3), 79.53 deg, I 29
- (2 2 0), 64.26 deg, I 18
- (3 1 2), 75.91 deg, I 17
- (2 0 5), 65.88 deg, I 17
- (0 0 5), 46.25 deg, I 12
- (2 0 6), 74.16 deg, I 11
- (0 0 2), 18.08 deg, I 11
- (1 0 3), 35.09 deg, I 10
- (1 0 0), 21.68 deg, I 10

```
data_NaPd6Se2
_chemical_formula_sum 'Na1 Pd6 Se2'
_symmetry_space_group_name_H-M 'P 4/m m m'
_symmetry_Int_Tables_number 123
_symmetry_space_group_name_Hall '-P 4 2'
_cell_length_a 4.0997
_cell_length_b 4.0997
_cell_length_c 9.8144
_cell_angle_alpha 90.00
_cell_angle_beta 90.00
_cell_angle_gamma 90.00
loop_
_atom_site_label
_atom_site_fract_x
_atom_site_fract_y
_atom_site_fract_z
_atom_site_occupancy
Na1 0.0000 0.0000 0.0000 1
Pd1 0.0000 0.0000 0.5000 1
Pd2 0.0000 0.5000 0.3034 1
Pd3 0.5000 0.5000 0.5000 1
Se1 0.5000 0.5000 0.1585 1
```

# 4
Structure and computed powder diffraction line list of ScIn2 (the PBE geometry in Alexandria; λ = 1.5418 Å (Cu Kα)).

Most intense lines, 10 to 90 degrees two-theta, most intense first:
- (1 1 1), 37.12 deg, I 100
- (1 1 0), 25.20 deg, I 63
- (2 0 0), 35.93 deg, I 55
- (3 1 1), 65.37 deg, I 36
- (0 0 1), 26.81 deg, I 27
- (2 0 1), 45.39 deg, I 26
- (2 2 0), 51.73 deg, I 19
- (2 0 2), 67.68 deg, I 16
- (3 1 0), 58.38 deg, I 12
- (2 2 1), 59.21 deg, I 12
- (1 1 2), 61.65 deg, I 10
- (2 2 2), 79.08 deg, I 10

```
data_ScIn2
_chemical_formula_sum 'Sc1 In2'
_symmetry_space_group_name_H-M 'P 4/m m m'
_symmetry_Int_Tables_number 123
_symmetry_space_group_name_Hall '-P 4 2'
_cell_length_a 4.9985
_cell_length_b 4.9985
_cell_length_c 3.3254
_cell_angle_alpha 90.00
_cell_angle_beta 90.00
_cell_angle_gamma 90.00
loop_
_atom_site_label
_atom_site_fract_x
_atom_site_fract_y
_atom_site_fract_z
_atom_site_occupancy
Sc1 0.0000 0.0000 0.0000 1
In1 0.0000 0.5000 0.5000 1
```